[1]
This entry pairs a crystal structure of VIO7 with its calculated powder XRD pattern. Radiation: a wavelength of 1.5418 Å. Structure: DFT lattice parameters and positions (GGA+U).
No peak broadening, texture or thermal motion is included.

The 12 most intense peaks (2θ = 10–90°), in order of rising 2θ:
| d_spacing | two_theta | Rel. int. |
| --- | --- | --- |
| 7.379 | 12.0 | 70.2 |
| 5.100 | 17.4 | 100.0 |
| 4.934 | 18.0 | 14.5 |
| 4.885 | 18.2 | 58.8 |
| 4.812 | 18.4 | 80.2 |
| 3.178 | 28.1 | 23.8 |
| 3.137 | 28.5 | 19.8 |
| 3.124 | 28.6 | 41.8 |
| 2.917 | 30.6 | 17.6 |
| 2.873 | 31.1 | 17.6 |
| 2.550 | 35.2 | 15.6 |
| 2.467 | 36.4 | 18.4 |

Crystal structure
a b c (Å): 9.639 11.494 6.782
angles (deg): 90.00 93.24 90.00
Sites, in units of the cell vectors:
V: 0.180 0.223 0.424
V: 0.180 0.277 0.924
V: 0.820 0.723 0.076
V: 0.820 0.777 0.576
I: 0.284 0.024 0.763
I: 0.284 0.476 0.263
I: 0.716 0.524 0.737
I: 0.716 0.976 0.237
O: 0.023 0.174 0.424
O: 0.023 0.326 0.924
O: 0.137 0.103 0.865
O: 0.137 0.397 0.365
O: 0.234 0.217 0.177
O: 0.234 0.283 0.677
O: 0.252 0.699 0.864
O: 0.252 0.801 0.364
O: 0.285 0.080 0.503
O: 0.285 0.420 0.003
O: 0.338 0.747 0.763
O: 0.338 0.753 0.263
O: 0.429 0.095 0.882
O: 0.429 0.405 0.382
O: 0.571 0.595 0.618
O: 0.571 0.905 0.118
O: 0.662 0.247 0.737
O: 0.662 0.253 0.237
O: 0.715 0.580 0.997
O: 0.715 0.920 0.497
O: 0.748 0.199 0.636
O: 0.748 0.301 0.136
O: 0.766 0.717 0.323
O: 0.766 0.783 0.823
O: 0.863 0.603 0.635
O: 0.863 0.897 0.135
O: 0.977 0.674 0.076
O: 0.977 0.826 0.576

[2]
This entry pairs a crystal structure of LiCo3OF5 with its calculated powder XRD pattern. Radiation: a wavelength of 1.5418 Å. Structure: DFT lattice parameters and positions (GGA+U).
No peak broadening, texture or thermal motion is included.

The 12 most intense peaks (2θ = 10–90°), in order of rising 2θ:
| d_spacing | two_theta | Rel. int. |
| --- | --- | --- |
| 4.888 | 18.1 | 50.1 |
| 3.991 | 22.3 | 17.8 |
| 3.968 | 22.4 | 24.0 |
| 3.484 | 25.6 | 22.2 |
| 3.436 | 25.9 | 31.3 |
| 2.856 | 31.3 | 55.8 |
| 2.816 | 31.8 | 100.0 |
| 2.801 | 32.0 | 51.4 |
| 1.742 | 52.5 | 36.6 |
| 1.731 | 52.9 | 18.4 |
| 1.719 | 53.3 | 36.1 |
| 1.716 | 53.4 | 16.9 |

Crystal structure
a b c (Å): 8.403 8.449 8.449
angles (deg): 109.05 109.15 109.25
Sites, in units of the cell vectors:
Li: 0.000 0.000 0.000
Li: 0.039 0.519 0.527
Li: 0.510 0.015 0.500
Li: 0.553 0.545 0.053
Co: 0.033 0.770 0.305
Co: 0.242 0.486 0.293
Co: 0.281 0.318 0.566
Co: 0.282 0.813 0.064
Co: 0.304 0.050 0.769
Co: 0.488 0.250 0.244
Co: 0.550 0.751 0.778
Co: 0.728 0.975 0.272
Co: 0.769 0.235 0.991
Co: 0.773 0.743 0.499
Co: 0.807 0.566 0.764
Co: 0.982 0.270 0.740
O: 0.298 0.550 0.557
O: 0.520 0.044 0.274
O: 0.776 0.776 0.738
O: 0.798 0.773 0.283
F: 0.020 0.786 0.065
F: 0.031 0.263 0.994
F: 0.069 0.557 0.804
F: 0.078 0.786 0.577
F: 0.234 0.009 0.962
F: 0.234 0.268 0.784
F: 0.246 0.222 0.286
F: 0.279 0.737 0.291
F: 0.285 0.059 0.517
F: 0.463 0.724 0.990
F: 0.470 0.502 0.252
F: 0.516 0.986 0.751
F: 0.558 0.284 0.026
F: 0.567 0.493 0.803
F: 0.755 0.002 0.560
F: 0.755 0.461 0.476
F: 0.761 0.309 0.776
F: 0.783 0.027 0.061
F: 0.964 0.477 0.245
F: 0.975 0.240 0.480

[3]
This entry pairs a crystal structure of Cs2LiMnO4 with its calculated powder XRD pattern. Radiation: a wavelength of 1.5418 Å. Structure: DFT lattice parameters and positions (GGA+U).
No peak broadening, texture or thermal motion is included.

The 12 most intense peaks (2θ = 10–90°), in order of rising 2θ:
| d_spacing | two_theta | Rel. int. |
| --- | --- | --- |
| 4.562 | 19.5 | 19.3 |
| 4.155 | 21.4 | 24.1 |
| 3.451 | 25.8 | 16.1 |
| 3.417 | 26.1 | 16.1 |
| 3.306 | 27.0 | 54.9 |
| 3.160 | 28.2 | 100.0 |
| 3.040 | 29.4 | 40.7 |
| 2.529 | 35.5 | 30.9 |
| 2.454 | 36.6 | 21.7 |
| 1.943 | 46.8 | 35.4 |
| 1.777 | 51.4 | 19.1 |
| 1.708 | 53.7 | 18.8 |

Crystal structure
a b c (Å): 6.902 6.902 8.310
angles (deg): 90.00 90.00 127.73
Sites, in units of the cell vectors:
Cs: 0.074 0.926 0.500
Cs: 0.394 0.606 0.634
Cs: 0.606 0.394 0.134
Cs: 0.926 0.074 0.000
Li: 0.208 0.792 0.916
Li: 0.792 0.208 0.416
Mn: 0.301 0.699 0.197
Mn: 0.699 0.301 0.697
O: 0.102 0.429 0.300
O: 0.165 0.835 0.150
O: 0.361 0.639 0.008
O: 0.429 0.102 0.800
O: 0.571 0.898 0.300
O: 0.639 0.361 0.508
O: 0.835 0.165 0.650
O: 0.898 0.571 0.800

[4]
This entry pairs a crystal structure of CuMoO4 with its calculated powder XRD pattern. Radiation: a wavelength of 1.5418 Å. Structure: DFT lattice parameters and positions (GGA+U).
No peak broadening, texture or thermal motion is included.

The 12 most intense peaks (2θ = 10–90°), in order of rising 2θ:
| d_spacing | two_theta | Rel. int. |
| --- | --- | --- |
| 4.002 | 22.2 | 18.6 |
| 3.877 | 22.9 | 100.0 |
| 3.692 | 24.1 | 25.3 |
| 3.236 | 27.6 | 43.6 |
| 3.185 | 28.0 | 41.6 |
| 3.173 | 28.1 | 42.4 |
| 3.069 | 29.1 | 69.1 |
| 2.961 | 30.2 | 47.2 |
| 2.792 | 32.1 | 16.8 |
| 2.570 | 34.9 | 22.9 |
| 2.143 | 42.2 | 15.6 |
| 1.958 | 46.4 | 16.2 |

Crystal structure
a b c (Å): 8.348 9.562 10.296
angles (deg): 90.00 124.52 90.00
Sites, in units of the cell vectors:
Cu: 0.017 0.002 0.179
Cu: 0.017 0.498 0.679
Cu: 0.415 0.507 0.737
Cu: 0.415 0.993 0.237
Cu: 0.585 0.007 0.763
Cu: 0.585 0.493 0.263
Cu: 0.983 0.502 0.321
Cu: 0.983 0.998 0.821
Mo: 0.157 0.689 0.120
Mo: 0.157 0.811 0.620
Mo: 0.362 0.229 0.908
Mo: 0.362 0.271 0.408
Mo: 0.638 0.729 0.592
Mo: 0.638 0.771 0.092
Mo: 0.843 0.189 0.380
Mo: 0.843 0.311 0.880
O: 0.040 0.149 0.569
O: 0.040 0.351 0.069
O: 0.110 0.620 0.257
O: 0.110 0.880 0.757
O: 0.165 0.610 0.616
O: 0.165 0.890 0.116
O: 0.181 0.139 0.921
O: 0.181 0.361 0.421
O: 0.260 0.108 0.285
O: 0.260 0.392 0.785
O: 0.363 0.609 0.132
O: 0.363 0.891 0.632
O: 0.463 0.717 0.898
O: 0.463 0.783 0.398
O: 0.473 0.107 0.852
O: 0.473 0.393 0.352
O: 0.527 0.607 0.648
O: 0.527 0.893 0.148
O: 0.537 0.217 0.602
O: 0.537 0.283 0.102
O: 0.637 0.109 0.368
O: 0.637 0.391 0.868
O: 0.740 0.608 0.215
O: 0.740 0.892 0.715
O: 0.819 0.639 0.579
O: 0.819 0.861 0.079
O: 0.835 0.110 0.884
O: 0.835 0.390 0.384
O: 0.890 0.120 0.243
O: 0.890 0.380 0.743
O: 0.960 0.649 0.931
O: 0.960 0.851 0.431

Question: What is the formula in the second record?
Answer: LiCo3OF5